# 1
# Li2VSiO4
Theoretical powder X-ray diffraction pattern, Cu Kα, 1.54184 Å. Input: a crystal structure in the Materials Project, relaxed with PBE+U.
Intensities are scaled so that the largest is 100.

Cell and atoms:
Cell lengths 4.864, 4.988, 11.895 Å; angles 88.04, 89.05, 62.45 degrees
Space group P1 (No. 1)
Symmetry-distinct sites (fractional):
Li 0.000 0.000 0.000 (multiplicity 1)
Li 0.101 0.774 0.481 (multiplicity 1)
Li 0.203 0.241 0.309 (multiplicity 1)
Li 0.359 0.289 0.834 (multiplicity 1)
Li 0.544 0.564 0.184 (multiplicity 1)
Li 0.780 0.433 0.673 (multiplicity 1)
V 0.157 0.780 0.720 (multiplicity 1)
V 0.263 0.381 0.052 (multiplicity 1)
V 0.726 0.400 0.444 (multiplicity 1)
Si 0.433 0.115 0.579 (multiplicity 1)
Si 0.665 0.667 0.919 (multiplicity 1)
Si 0.843 0.899 0.247 (multiplicity 1)
O 0.096 0.780 0.144 (multiplicity 1)
O 0.213 0.291 0.687 (multiplicity 1)
O 0.293 0.334 0.465 (multiplicity 1)
O 0.389 0.006 0.945 (multiplicity 1)
O 0.453 0.774 0.571 (multiplicity 1)
O 0.512 0.174 0.202 (multiplicity 1)
O 0.572 0.537 0.808 (multiplicity 1)
O 0.726 0.431 0.027 (multiplicity 1)
O 0.784 0.619 0.299 (multiplicity 1)
O 0.790 0.073 0.596 (multiplicity 1)
O 0.980 0.016 0.350 (multiplicity 1)
O 0.996 0.682 0.892 (multiplicity 1)

Top 10 peaks for 10° ≤ 2θ ≤ 90°, low angle first:
d = 4.184 Å, 21.23 deg, intensity 46.3, (0 1 1); d = 4.055 Å, 21.92 deg, intensity 61.2, (1 0 1); d = 3.599 Å, 24.74 deg, intensity 97.9, (0 1 2); d = 3.493 Å, 25.50 deg, intensity 100.0, (1 0 2); d = 3.389 Å, 26.30 deg, intensity 61.3, (1 1 -2); d = 2.925 Å, 30.57 deg, intensity 47.6, (1 1 3); d = 2.912 Å, 30.70 deg, intensity 80.0, (0 1 -3); d = 2.488 Å, 36.10 deg, intensity 37.9, (1 2 0); d = 2.431 Å, 36.98 deg, intensity 64.0, (2 1 0); d = 2.068 Å, 43.77 deg, intensity 46.5, (0 1 -5)



# 2
# LiVSiO5
Theoretical powder X-ray diffraction pattern, Cu Kα, 1.54184 Å. Input: a crystal structure in the Materials Project, relaxed with PBE+U.
Intensities are scaled so that the largest is 100.

Cell and atoms:
Cell lengths 8.995, 4.497, 9.322 Å; angles 90.00, 90.00, 90.00 degrees
Space group Pmc2_1 (No. 26)
Symmetry-distinct sites (fractional):
Li 0.000 0.007 0.000 (multiplicity 2)
Li 0.500 0.366 0.743 (multiplicity 2)
V 0.000 0.418 0.256 (multiplicity 2)
V 0.500 0.038 0.463 (multiplicity 2)
Si 0.250 0.499 0.505 (multiplicity 4)
O 0.000 0.219 0.759 (multiplicity 2)
O 0.142 0.309 0.397 (multiplicity 4)
O 0.143 0.314 0.115 (multiplicity 4)
O 0.356 0.253 0.924 (multiplicity 4)
O 0.361 0.253 0.581 (multiplicity 4)
O 0.500 0.210 0.308 (multiplicity 2)

Top 10 peaks for 10° ≤ 2θ ≤ 90°, low angle first:
d = 4.661 Å, 19.04 deg, intensity 37.1, (0 0 2); d = 4.497 Å, 19.74 deg, intensity 41.2, (0 1 0); d = 4.138 Å, 21.47 deg, intensity 91.5, (1 0 2); d = 4.022 Å, 22.10 deg, intensity 73.5, (1 1 0); d = 3.693 Å, 24.10 deg, intensity 21.6, (1 1 1); d = 3.236 Å, 27.56 deg, intensity 57.4, (2 0 2); d = 3.180 Å, 28.06 deg, intensity 23.7, (2 1 0); d = 2.627 Å, 34.13 deg, intensity 100.0, (2 1 2); d = 1.945 Å, 46.69 deg, intensity 22.9, (3 1 3); d = 1.618 Å, 56.90 deg, intensity 36.8, (4 0 4)



# 3
# Li10VSi2O10
Theoretical powder X-ray diffraction pattern, Cu Kα, 1.54184 Å. Input: a crystal structure in the Materials Project, relaxed with PBE+U.
Intensities are scaled so that the largest is 100.

Cell and atoms:
Cell lengths 30.006, 6.136, 5.146 Å; angles 90.00, 99.03, 90.00 degrees
Space group C2/m (No. 12)
Symmetry-distinct sites (fractional):
Li 0.010 0.000 0.260 (multiplicity 4)
Li 0.066 0.217 0.888 (multiplicity 8)
Li 0.132 0.281 0.234 (multiplicity 8)
Li 0.132 0.500 0.779 (multiplicity 4)
Li 0.176 0.000 0.932 (multiplicity 4)
Li 0.196 0.258 0.601 (multiplicity 8)
Li 0.231 0.000 0.325 (multiplicity 4)
V 0.036 0.500 0.217 (multiplicity 4)
Si 0.101 0.000 0.507 (multiplicity 4)
Si 0.220 0.500 0.129 (multiplicity 4)
O 0.000 0.260 0.000 (multiplicity 4)
O 0.051 0.000 0.601 (multiplicity 4)
O 0.092 0.500 0.062 (multiplicity 4)
O 0.096 0.000 0.181 (multiplicity 4)
O 0.129 0.219 0.622 (multiplicity 8)
O 0.194 0.276 0.217 (multiplicity 8)
O 0.215 0.500 0.806 (multiplicity 4)
O 0.229 0.000 0.721 (multiplicity 4)

Top 10 peaks for 10° ≤ 2θ ≤ 90°, low angle first:
d = 4.536 Å, 19.57 deg, intensity 48.0, (4 0 -1); d = 4.263 Å, 20.84 deg, intensity 74.5, (5 1 0); d = 3.943 Å, 22.55 deg, intensity 100.0, (1 1 -1); d = 3.858 Å, 23.06 deg, intensity 29.4, (6 0 -1); d = 3.099 Å, 28.81 deg, intensity 33.2, (5 1 1); d = 2.715 Å, 32.99 deg, intensity 37.8, (7 1 1); d = 2.685 Å, 33.38 deg, intensity 35.1, (9 1 -1); d = 2.606 Å, 34.41 deg, intensity 38.4, (6 2 0); d = 1.838 Å, 49.60 deg, intensity 30.6, (4 2 2); d = 1.586 Å, 58.18 deg, intensity 29.3, (16 2 0)



# 4
# Li7V3Si2O12
Theoretical powder X-ray diffraction pattern, Cu Kα, 1.54184 Å. Input: a crystal structure in the Materials Project, relaxed with PBE+U.
Intensities are scaled so that the largest is 100.

Cell and atoms:
Cell lengths 4.960, 8.599, 9.859 Å; angles 90.00, 99.23, 90.00 degrees
Space group C2/m (No. 12)
Symmetry-distinct sites (fractional):
Li 0.000 0.000 0.000 (multiplicity 2)
Li 0.243 0.163 0.243 (multiplicity 8)
Li 0.247 0.000 0.757 (multiplicity 4)
V 0.000 0.166 0.500 (multiplicity 4)
V 0.000 0.500 0.500 (multiplicity 2)
Si 0.000 0.333 0.000 (multiplicity 4)
O 0.093 0.500 0.897 (multiplicity 4)
O 0.120 0.000 0.377 (multiplicity 4)
O 0.122 0.333 0.380 (multiplicity 8)
O 0.154 0.187 0.898 (multiplicity 8)

Top 10 peaks for 10° ≤ 2θ ≤ 90°, low angle first:
d = 4.866 Å, 18.23 deg, intensity 100.0, (0 0 2); d = 2.446 Å, 36.74 deg, intensity 28.9, (2 0 0); d = 2.058 Å, 43.99 deg, intensity 33.4, (2 0 2); d = 2.049 Å, 44.21 deg, intensity 65.9, (1 3 -3); d = 1.594 Å, 57.86 deg, intensity 9.3, (1 3 -5); d = 1.473 Å, 63.13 deg, intensity 17.4, (1 3 5); d = 1.465 Å, 63.52 deg, intensity 8.5, (2 0 -6); d = 1.433 Å, 65.11 deg, intensity 24.9, (0 6 0); d = 1.376 Å, 68.17 deg, intensity 7.4, (0 6 2); d = 1.176 Å, 81.90 deg, intensity 7.7, (2 6 2)



# 5
# Li2V4Si4O13
Theoretical powder X-ray diffraction pattern, Cu Kα, 1.54184 Å. Input: a crystal structure in the Materials Project, relaxed with PBE+U.
Intensities are scaled so that the largest is 100.

Cell and atoms:
Cell lengths 6.939, 8.011, 10.375 Å; angles 67.56, 80.60, 77.54 degrees
Space group P-1 (No. 2)
Symmetry-distinct sites (fractional):
Li 0.225 0.487 0.117 (multiplicity 2)
Li 0.269 0.956 0.577 (multiplicity 2)
V 0.082 0.555 0.619 (multiplicity 2)
V 0.085 0.190 0.991 (multiplicity 2)
V 0.421 0.447 0.379 (multiplicity 2)
V 0.426 0.805 0.012 (multiplicity 2)
Si 0.069 0.835 0.287 (multiplicity 2)
Si 0.271 0.586 0.827 (multiplicity 2)
Si 0.273 0.134 0.285 (multiplicity 2)
Si 0.375 0.159 0.714 (multiplicity 2)
O 0.094 0.464 0.844 (multiplicity 2)
O 0.124 0.982 0.345 (multiplicity 2)
O 0.130 0.882 0.120 (multiplicity 2)
O 0.132 0.622 0.389 (multiplicity 2)
O 0.170 0.115 0.687 (multiplicity 2)
O 0.213 0.279 0.365 (multiplicity 2)
O 0.213 0.701 0.932 (multiplicity 2)
O 0.282 0.707 0.655 (multiplicity 2)
O 0.289 0.231 0.115 (multiplicity 2)
O 0.384 0.104 0.882 (multiplicity 2)
O 0.392 0.369 0.611 (multiplicity 2)
O 0.481 0.997 0.346 (multiplicity 2)
O 0.499 0.530 0.155 (multiplicity 2)

Top 10 peaks for 10° ≤ 2θ ≤ 90°, low angle first:
d = 7.177 Å, 12.33 deg, intensity 26.4, (0 1 1); d = 4.997 Å, 17.75 deg, intensity 10.8, (0 1 -1); d = 3.184 Å, 28.03 deg, intensity 37.1, (0 0 3); d = 3.062 Å, 29.17 deg, intensity 39.5, (0 2 -1); d = 2.809 Å, 31.86 deg, intensity 100.0, (-2 1 1); d = 2.557 Å, 35.09 deg, intensity 16.7, (0 1 4); d = 2.438 Å, 36.87 deg, intensity 13.2, (2 1 -2); d = 2.433 Å, 36.95 deg, intensity 13.2, (0 3 0); d = 1.833 Å, 49.75 deg, intensity 14.7, (2 -3 0); d = 1.734 Å, 52.78 deg, intensity 33.8, (4 1 1)



# 6
# Li2V2Si4O11
Theoretical powder X-ray diffraction pattern, Cu Kα, 1.54184 Å. Input: a crystal structure in the Materials Project, relaxed with PBE+U.
Intensities are scaled so that the largest is 100.

Cell and atoms:
Cell lengths 7.006, 7.472, 8.964 Å; angles 99.97, 100.86, 104.32 degrees
Space group P-1 (No. 2)
Symmetry-distinct sites (fractional):
Li 0.206 0.303 0.389 (multiplicity 2)
Li 0.246 0.349 0.862 (multiplicity 2)
V 0.379 0.110 0.120 (multiplicity 2)
V 0.390 0.106 0.627 (multiplicity 2)
Si 0.026 0.903 0.233 (multiplicity 2)
Si 0.223 0.725 0.519 (multiplicity 2)
Si 0.225 0.731 0.959 (multiplicity 2)
Si 0.388 0.532 0.239 (multiplicity 2)
O 0.040 0.776 0.383 (multiplicity 2)
O 0.049 0.793 0.024 (multiplicity 2)
O 0.151 0.685 0.711 (multiplicity 2)
O 0.191 0.063 0.321 (multiplicity 2)
O 0.194 0.086 0.814 (multiplicity 2)
O 0.256 0.561 0.398 (multiplicity 2)
O 0.260 0.569 0.025 (multiplicity 2)
O 0.372 0.348 0.181 (multiplicity 2)
O 0.403 0.351 0.676 (multiplicity 2)
O 0.413 0.865 0.578 (multiplicity 2)
O 0.417 0.869 0.061 (multiplicity 2)

Top 10 peaks for 10° ≤ 2θ ≤ 90°, low angle first:
d = 7.045 Å, 12.57 deg, intensity 42.9, (0 1 0); d = 6.586 Å, 13.44 deg, intensity 33.0, (1 0 0); d = 3.418 Å, 26.07 deg, intensity 19.7, (1 -2 1); d = 3.388 Å, 26.31 deg, intensity 100.0, (1 -1 2); d = 3.306 Å, 26.97 deg, intensity 15.2, (-2 1 1); d = 2.983 Å, 29.95 deg, intensity 66.4, (2 0 -2); d = 2.789 Å, 32.10 deg, intensity 23.4, (1 2 0); d = 2.699 Å, 33.20 deg, intensity 26.6, (2 1 0); d = 2.492 Å, 36.04 deg, intensity 16.9, (2 -1 2); d = 2.189 Å, 41.25 deg, intensity 49.3, (1 1 -4)



# 7
# Li3VSi2O7
Theoretical powder X-ray diffraction pattern, Cu Kα, 1.54184 Å. Input: a crystal structure in the Materials Project, relaxed with PBE+U.
Intensities are scaled so that the largest is 100.

Cell and atoms:
Cell lengths 8.986, 12.544, 5.022 Å; angles 90.00, 90.00, 90.00 degrees
Space group Pnma (No. 62)
Symmetry-distinct sites (fractional):
Li 0.018 0.250 0.028 (multiplicity 4)
Li 0.162 0.590 0.534 (multiplicity 8)
V 0.000 0.000 0.000 (multiplicity 4)
Si 0.183 0.131 0.511 (multiplicity 8)
O 0.101 0.039 0.336 (multiplicity 8)
O 0.115 0.250 0.411 (multiplicity 4)
O 0.139 0.628 0.936 (multiplicity 8)
O 0.148 0.117 0.827 (multiplicity 8)

Top 10 peaks for 10° ≤ 2θ ≤ 90°, low angle first:
d = 6.272 Å, 14.12 deg, intensity 79.8, (0 2 0); d = 4.230 Å, 21.00 deg, intensity 45.6, (2 1 0); d = 4.138 Å, 21.47 deg, intensity 100.0, (1 1 1); d = 3.653 Å, 24.37 deg, intensity 31.9, (2 2 0); d = 3.593 Å, 24.78 deg, intensity 41.8, (1 2 1); d = 2.572 Å, 34.88 deg, intensity 97.3, (2 4 0); d = 2.511 Å, 35.76 deg, intensity 27.6, (0 0 2); d = 2.289 Å, 39.37 deg, intensity 27.3, (2 4 1); d = 1.796 Å, 50.82 deg, intensity 25.7, (2 4 2); d = 1.489 Å, 62.35 deg, intensity 25.6, (5 4 1)